[1]
Structure and calculated XRD peak list of In2Bi5Pb5 (a DFT-relaxed cell (PBE, Alexandria); Cu Ka).
Intensities are scaled so that the largest is 100.

Peak list (8 most intense, 2θ = 10–90°, most intense first)
two_theta, I_rel, index
32.60, 100, -1 1 2
30.15, 60, 0 0 4
31.01, 27, 1 2 -1
30.35, 25, 0 3 1
55.06, 20, 1 5 2
37.05, 17, 1 2 3
29.61, 14, 0 3 0
29.80, 13, 1 2 0

Cell and atoms:
```
data_In2Bi5Pb5
_space_group_name_H-M_alt 'P -1'
_space_group_IT_number 2
_space_group_name_Hall '-P 1'
_cell_length_a 3.5342
_cell_length_b 9.1664
_cell_length_c 11.8637
_cell_angle_alpha 88.15
_cell_angle_beta 88.86
_cell_angle_gamma 81.05
loop_
_atom_site_label
_atom_site_type_symbol
_atom_site_fract_x
_atom_site_fract_y
_atom_site_fract_z
_atom_site_occupancy
In1 In 0.1553 0.1604 0.2570 1
Bi1 Bi 0.3074 0.8366 0.9847 1
Bi2 Bi 0.4863 0.4853 0.2557 1
Bi3 Bi 0.5000 0.0000 0.5000 1
Pb1 Pb 0.0000 0.5000 0.0000 1
Pb2 Pb 0.2006 0.6703 0.4921 1
Pb3 Pb 0.2294 0.1754 0.7650 1
```

[2]
Structure and calculated XRD peak list of Tb4Ce3PmAs8 (a DFT-relaxed cell (PBE, Alexandria); Cu Ka).
Intensities are scaled so that the largest is 100.

Peak list (8 most intense, 2θ = 10–90°, most intense first)
two_theta, I_rel, index
30.25, 100, 0 2 4
43.30, 75, 2 2 0
71.38, 34, 2 4 4
53.73, 26, 4 0 4
26.12, 19, 2 0 2
79.41, 19, 6 0 0
62.90, 12, 0 4 8
51.27, 9, 0 2 10

Cell and atoms:
```
data_Tb4Ce3PmAs8
_space_group_name_H-M_alt 'R -3 m'
_space_group_IT_number 166
_space_group_name_Hall '-R 3 2"'
_cell_length_a 8.3626
_cell_length_b 8.3626
_cell_length_c 20.4488
_cell_angle_alpha 90.00
_cell_angle_beta 90.00
_cell_angle_gamma 120.00
loop_
_atom_site_label
_atom_site_type_symbol
_atom_site_fract_x
_atom_site_fract_y
_atom_site_fract_z
_atom_site_occupancy
Tb1 Tb 0.0000 0.0000 0.0000 1
Tb2 Tb 0.0000 0.5000 0.0000 1
Ce1 Ce 0.0000 0.5000 0.5000 1
Pm1 Pm 0.0000 0.0000 0.5000 1
As1 As 0.0000 0.0000 0.2511 1
As2 As 0.0019 0.5010 0.7488 1
```

[3]
Structure and calculated XRD peak list of Re2TcSe (a DFT-relaxed cell (PBE, Alexandria); Cu Ka).
Intensities are scaled so that the largest is 100.

Peak list (8 most intense, 2θ = 10–90°, most intense first)
two_theta, I_rel, index
40.46, 100, 1 0 2
43.01, 42, 1 1 0
77.10, 30, 2 1 2
13.14, 18, 0 0 1
71.82, 18, 1 1 4
62.45, 14, 2 0 0
32.92, 12, 1 0 1
87.52, 11, 2 0 4

Cell and atoms:
```
data_Re2TcSe
_space_group_name_H-M_alt 'P 4 m m'
_space_group_IT_number 99
_space_group_name_Hall 'P 4 -2'
_cell_length_a 2.9741
_cell_length_b 2.9741
_cell_length_c 6.7353
_cell_angle_alpha 90.00
_cell_angle_beta 90.00
_cell_angle_gamma 90.00
loop_
_atom_site_label
_atom_site_type_symbol
_atom_site_fract_x
_atom_site_fract_y
_atom_site_fract_z
_atom_site_occupancy
Re1 Re 0.0000 0.0000 0.0000 1
Re2 Re 0.5000 0.5000 0.2523 1
Tc1 Tc 0.5000 0.5000 0.7371 1
Se1 Se 0.0000 0.0000 0.5040 1
```

[4]
Structure and calculated XRD peak list of Tb6Pr8Sm (a DFT-relaxed cell (PBE, Alexandria); Cu Ka).
Intensities are scaled so that the largest is 100.

Peak list (8 most intense, 2θ = 10–90°, most intense first)
two_theta, I_rel, index
31.66, 100, 3 -2 1
32.92, 53, 1 1 2
28.56, 33, 2 1 0
25.40, 24, 2 0 1
29.06, 23, 1 0 2
50.60, 21, 1 4 0
32.48, 20, 3 0 0
50.01, 17, 3 2 1

Cell and atoms:
```
data_Tb6Pr8Sm
_space_group_name_H-M_alt 'P -3'
_space_group_IT_number 147
_space_group_name_Hall '-P 3'
_cell_length_a 9.5491
_cell_length_b 9.5491
_cell_length_c 6.6207
_cell_angle_alpha 90.00
_cell_angle_beta 90.00
_cell_angle_gamma 120.00
loop_
_atom_site_label
_atom_site_type_symbol
_atom_site_fract_x
_atom_site_fract_y
_atom_site_fract_z
_atom_site_occupancy
Tb1 Tb 0.0942 0.4399 0.3395 1
Pr1 Pr 0.0378 0.2867 0.8301 1
Pr2 Pr 0.3333 0.6667 0.8769 1
Sm1 Sm 0.0000 0.0000 0.5000 1
```

[5]
Structure and calculated XRD peak list of Nd2SmTl2Cd2 (a DFT-relaxed cell (PBE, Alexandria); Cu Ka).
Intensities are scaled so that the largest is 100.

Peak list (8 most intense, 2θ = 10–90°, most intense first)
two_theta, I_rel, index
35.66, 100, 1 1 0
32.87, 98, 0 1 8
30.37, 36, 1 0 7
49.28, 31, 2 0 8
62.30, 31, 1 2 8
62.01, 26, 1 1 15
64.06, 18, 3 0 0
19.07, 16, 0 0 6

Cell and atoms:
```
data_Nd2SmTl2Cd2
_space_group_name_H-M_alt 'R -3 m'
_space_group_IT_number 166
_space_group_name_Hall '-R 3 2"'
_cell_length_a 5.0351
_cell_length_b 5.0351
_cell_length_c 27.9179
_cell_angle_alpha 90.00
_cell_angle_beta 90.00
_cell_angle_gamma 120.00
loop_
_atom_site_label
_atom_site_type_symbol
_atom_site_fract_x
_atom_site_fract_y
_atom_site_fract_z
_atom_site_occupancy
Nd1 Nd 0.0000 0.0000 0.1268 1
Sm1 Sm 0.0000 0.0000 0.0000 1
Tl1 Tl 0.0000 0.0000 0.2595 1
Cd1 Cd 0.0000 0.0000 0.3915 1
```

[6]
Structure and calculated XRD peak list of Be4PdO2 (a DFT-relaxed cell (PBE, Alexandria); Cu Ka).
Intensities are scaled so that the largest is 100.

Peak list (8 most intense, 2θ = 10–90°, most intense first)
two_theta, I_rel, index
22.85, 100, 1 0 1
34.68, 75, 1 0 3
29.79, 71, 1 1 0
18.12, 70, 0 0 2
56.08, 35, 2 1 3
42.64, 34, 2 0 0
35.09, 31, 1 1 2
48.91, 28, 2 1 1

Cell and atoms:
```
data_Be4PdO2
_space_group_name_H-M_alt 'I 4/m m m'
_space_group_IT_number 139
_space_group_name_Hall '-I 4 2'
_cell_length_a 4.2411
_cell_length_b 4.2411
_cell_length_c 9.7934
_cell_angle_alpha 90.00
_cell_angle_beta 90.00
_cell_angle_gamma 90.00
loop_
_atom_site_label
_atom_site_type_symbol
_atom_site_fract_x
_atom_site_fract_y
_atom_site_fract_z
_atom_site_occupancy
Be1 Be 0.0000 0.0000 0.2256 1
Be2 Be 0.0000 0.5000 0.0000 1
Pd1 Pd 0.0000 0.0000 0.0000 1
O1 O 0.0000 0.0000 0.3732 1
```

[7]
Structure and calculated XRD peak list of Ca2SiHPd6 (a DFT-relaxed cell (PBE, Alexandria); Cu Ka).
Intensities are scaled so that the largest is 100.

Peak list (8 most intense, 2θ = 10–90°, most intense first)
two_theta, I_rel, index
37.23, 100, 2 2 0
41.71, 74, 2 2 -2
31.71, 34, 0 0 2
20.51, 25, 1 1 -1
63.99, 24, 0 4 0
56.81, 15, 4 0 -4
73.16, 12, 0 4 2
15.70, 12, 0 0 1

Cell and atoms:
```
data_Ca2SiHPd6
_space_group_name_H-M_alt 'C 1 2/m 1'
_space_group_IT_number 12
_space_group_name_Hall '-C 2y'
_cell_length_a 10.0762
_cell_length_b 5.8222
_cell_length_c 6.5622
_cell_angle_alpha 90.00
_cell_angle_beta 120.68
_cell_angle_gamma 90.00
loop_
_atom_site_label
_atom_site_type_symbol
_atom_site_fract_x
_atom_site_fract_y
_atom_site_fract_z
_atom_site_occupancy
Ca1 Ca 0.2287 0.0000 0.1856 1
Si1 Si 0.0000 0.5000 0.0000 1
H1 H 0.0000 0.0000 0.5000 1
Pd1 Pd 0.0170 0.2503 0.3001 1
Pd2 Pd 0.2334 0.0000 0.7000 1
```

[8]
Structure and calculated XRD peak list of Y2Cu5Ni4 (a DFT-relaxed cell (PBE, Alexandria); Cu Ka).
Intensities are scaled so that the largest is 100.

Peak list (8 most intense, 2θ = 10–90°, most intense first)
two_theta, I_rel, index
42.96, 100, 2 0 4
40.58, 96, 1 3 3
45.72, 59, 0 0 8
30.91, 44, 0 2 4
42.21, 43, 2 2 0
37.13, 39, 1 3 1
46.84, 38, 1 3 5
48.30, 27, 2 2 4

Cell and atoms:
```
data_Y2Cu5Ni4
_space_group_name_H-M_alt 'F m m m'
_space_group_IT_number 69
_space_group_name_Hall '-F 2 2'
_cell_length_a 4.9670
_cell_length_b 8.4482
_cell_length_c 15.8762
_cell_angle_alpha 90.00
_cell_angle_beta 90.00
_cell_angle_gamma 90.00
loop_
_atom_site_label
_atom_site_type_symbol
_atom_site_fract_x
_atom_site_fract_y
_atom_site_fract_z
_atom_site_occupancy
Y1 Y 0.0000 0.0000 0.1346 1
Cu1 Cu 0.0000 0.0000 0.5000 1
Cu2 Cu 0.2500 0.2500 0.0000 1
Cu3 Cu 0.2500 0.2500 0.2500 1
Ni1 Ni 0.0000 0.1611 0.3725 1
```